# Tb9Ho3Er2
Computed powder diffraction line list, Cu Kα, 1.54184 Å. Input: a crystal structure in Alexandria, relaxed with PBE.
Kinematic intensities with the Lorentz-polarization factor, no thermal factor.

Crystal structure
Lattice parameters (Å, degrees): 6.046 6.764 11.613 105.34 103.97 90.41
Space group P-1 (No. 2)
Symmetry-distinct sites (fractional):
Tb (0.000, 0.000, 0.000) (multiplicity 1)
Tb (0.076, 0.928, 0.291) (multiplicity 2)
Tb (0.230, 0.429, 0.288) (multiplicity 2)
Tb (0.350, 0.750, 0.846) (multiplicity 2)
Tb (0.360, 0.854, 0.572) (multiplicity 2)
Ho (0.000, 0.500, 0.000) (multiplicity 1)
Ho (0.208, 0.354, 0.572) (multiplicity 2)
Er (0.474, 0.255, 0.856) (multiplicity 2)

Peak list (6 most intense, 2θ = 15–90°, low angle first)
2theta  Rel. int.  hkl
29.56  32  2 0 -1
31.57  63  0 2 -3
32.24  46  1 0 3
32.52  100  -1 2 1
32.73  47  1 0 -4
32.93  18  2 1 -2



# Pr2Ge3Pd9
Computed powder diffraction line list, Cu Kα, 1.54184 Å. Input: a crystal structure in Alexandria, relaxed with PBE.
Kinematic intensities with the Lorentz-polarization factor, no thermal factor.

Crystal structure
Lattice parameters (Å, degrees): 13.660 7.821 10.263 90.00 116.39 90.00
Space group C2/c (No. 15)
Symmetry-distinct sites (fractional):
Pr (0.172, 0.086, 0.248) (multiplicity 8)
Ge (0.086, 0.238, 0.500) (multiplicity 8)
Ge (0.250, 0.250, 0.000) (multiplicity 4)
Pd (0.000, 0.369, 0.250) (multiplicity 4)
Pd (0.057, 0.075, 0.920) (multiplicity 8)
Pd (0.098, 0.412, 0.041) (multiplicity 8)
Pd (0.104, 0.319, 0.747) (multiplicity 8)
Pd (0.227, 0.413, 0.428) (multiplicity 8)

Peak list (6 most intense, 2θ = 15–90°, low angle first)
2theta  Rel. int.  hkl
37.19  100  3 1 2
37.28  47  0 2 3
39.20  20  0 0 4
39.59  38  6 0 -2
39.84  73  3 3 -1
70.25  19  9 1 0



# Mn5Ge2N6
Computed powder diffraction line list, Cu Kα, 1.54184 Å. Input: a crystal structure in Alexandria, relaxed with PBE.
Kinematic intensities with the Lorentz-polarization factor, no thermal factor.

Crystal structure
Lattice parameters (Å, degrees): 15.575 4.801 9.295 90.00 110.22 90.00
Space group C2/c (No. 15)
Symmetry-distinct sites (fractional):
Mn (0.000, 0.218, 0.250) (multiplicity 4)
Mn (0.005, 0.246, 0.516) (multiplicity 8)
Mn (0.172, 0.377, 0.721) (multiplicity 8)
Ge (0.196, 0.000, 0.440) (multiplicity 8)
N (0.054, 0.463, 0.156) (multiplicity 8)
N (0.067, 0.013, 0.423) (multiplicity 8)
N (0.244, 0.328, 0.360) (multiplicity 8)

Peak list (6 most intense, 2θ = 15–90°, low angle first)
2theta  Rel. int.  hkl
24.36  66  4 0 0
25.84  52  4 0 -2
29.01  64  3 1 -2
29.83  100  1 1 2
36.90  48  6 0 0
39.51  54  2 2 0



# Cs3Pb2I5Br2
Computed powder diffraction line list, Cu Kα, 1.54184 Å. Input: a crystal structure in Alexandria, relaxed with PBE.
Kinematic intensities with the Lorentz-polarization factor, no thermal factor.

Crystal structure
Lattice parameters (Å, degrees): 6.393 6.393 30.772 90.00 90.00 90.00
Space group I4/mmm (No. 139)
Symmetry-distinct sites (fractional):
Cs (0.000, 0.000, 0.000) (multiplicity 2)
Cs (0.000, 0.000, 0.183) (multiplicity 4)
Pb (0.000, 0.000, 0.393) (multiplicity 4)
I (0.000, 0.000, 0.500) (multiplicity 2)
I (0.000, 0.500, 0.101) (multiplicity 8)
Br (0.000, 0.000, 0.298) (multiplicity 4)

Peak list (6 most intense, 2θ = 15–90°, low angle first)
2theta  Rel. int.  hkl
20.03  36  1 0 5
26.28  39  1 1 6
27.91  100  2 0 0
29.02  36  0 0 10
39.89  38  2 2 0
40.70  59  2 0 10



# Ac2Ho2Te2Se3
Computed powder diffraction line list, Cu Kα, 1.54184 Å. Input: a crystal structure in Alexandria, relaxed with PBE.
Kinematic intensities with the Lorentz-polarization factor, no thermal factor.

Crystal structure
Lattice parameters (Å, degrees): 5.338 5.338 20.315 90.00 90.00 90.00
Space group I4/mmm (No. 139)
Symmetry-distinct sites (fractional):
Ac (0.000, 0.000, 0.176) (multiplicity 4)
Ho (0.000, 0.500, 0.000) (multiplicity 4)
Te (0.000, 0.000, 0.405) (multiplicity 4)
Se (0.000, 0.000, 0.000) (multiplicity 2)
Se (0.000, 0.500, 0.250) (multiplicity 4)

Peak list (6 most intense, 2θ = 15–90°, low angle first)
2theta  Rel. int.  hkl
27.59  89  1 0 5
29.48  91  1 1 4
33.57  100  2 0 0
42.92  37  1 1 8
43.99  51  2 1 5
48.21  36  2 2 0



# Ga
Computed powder diffraction line list, Cu Kα, 1.54184 Å. Input: a crystal structure in Alexandria, relaxed with PBE.
Kinematic intensities with the Lorentz-polarization factor, no thermal factor.

Crystal structure
Lattice parameters (Å, degrees): 5.443 5.443 10.505 90.00 90.00 90.00
Space group I4_1/acd (No. 142, origin choice 2)
Symmetry-distinct sites (fractional):
Ga (0.181, 0.069, 0.125) (multiplicity 16)

Peak list (6 most intense, 2θ = 15–90°, low angle first)
2theta  Rel. int.  hkl
32.91  65  2 0 0
34.14  70  0 0 4
37.94  100  2 1 1
45.38  60  2 1 3
48.15  44  2 0 4
57.99  28  2 1 5



# NaP
Computed powder diffraction line list, Cu Kα, 1.54184 Å. Input: a crystal structure in Alexandria, relaxed with PBE.
Kinematic intensities with the Lorentz-polarization factor, no thermal factor.

Crystal structure
Lattice parameters (Å, degrees): 11.275 11.275 3.366 90.00 90.00 90.00
Space group I4/m (No. 87)
Symmetry-distinct sites (fractional):
Na (0.018, 0.272, 0.000) (multiplicity 8)
P (0.192, 0.781, 0.500) (multiplicity 8)

Peak list (6 most intense, 2θ = 15–90°, low angle first)
2theta  Rel. int.  hkl
15.72  100  2 0 0
31.75  27  4 0 0
33.73  11  3 3 0
35.81  48  3 0 1
39.33  34  3 2 1
48.60  23  3 4 1



# Sr2AlAg2
Computed powder diffraction line list, Cu Kα, 1.54184 Å. Input: a crystal structure in Alexandria, relaxed with PBE.
Kinematic intensities with the Lorentz-polarization factor, no thermal factor.

Crystal structure
Lattice parameters (Å, degrees): 4.637 6.076 9.839 90.00 90.00 90.00
Space group Immm (No. 71)
Symmetry-distinct sites (fractional):
Sr (0.000, 0.000, 0.197) (multiplicity 4)
Al (0.000, 0.500, 0.000) (multiplicity 2)
Ag (0.000, 0.252, 0.500) (multiplicity 4)

Peak list (6 most intense, 2θ = 15–90°, low angle first)
2theta  Rel. int.  hkl
30.30  40  1 1 2
33.47  65  1 0 3
34.70  56  0 2 2
36.52  100  1 2 1
53.07  36  2 2 2
59.40  36  1 2 5